This entry pairs a crystal structure of Li4Mn7O2F14 with its theoretical powder diffractogram. Radiation: Cu Kα X-rays. Structure: a DFT-relaxed cell (GGA+U, Alexandria).
Kinematic intensities with the Lorentz-polarization factor, no thermal factor.

Atomic structure:
```
Li4Mn7O2F14
1.0
5.286 -3.215 0.000
5.286 3.215 0.000
-3.871 0.000 10.424
Li Mn O F
4 7 2 14
direct
0.077 0.077 0.214 Li
0.415 0.415 0.297 Li
0.585 0.585 0.703 Li
0.923 0.923 0.786 Li
0.000 0.000 0.500 Mn
0.000 0.500 0.000 Mn
0.000 0.500 0.500 Mn
0.277 0.277 0.762 Mn
0.500 0.000 0.000 Mn
0.500 0.000 0.500 Mn
0.723 0.723 0.238 Mn
0.138 0.138 0.408 O
0.862 0.862 0.592 O
0.099 0.627 0.361 F
0.101 0.624 0.871 F
0.137 0.137 0.874 F
0.361 0.361 0.113 F
0.373 0.901 0.639 F
0.376 0.899 0.129 F
0.388 0.388 0.636 F
0.612 0.612 0.364 F
0.624 0.101 0.871 F
0.627 0.099 0.361 F
0.639 0.639 0.887 F
0.863 0.863 0.126 F
0.899 0.376 0.129 F
0.901 0.373 0.639 F
```

Top 10 peaks for 15° ≤ 2θ ≤ 90°, low angle first:
2θ/deg	intensity
17.01	89
17.90	94
32.73	32
32.79	22
33.23	46
40.47	100
40.58	52
57.39	34
59.86	38
72.57	19